For LiHgBi2, the GGA-PBE geometry in OQMD gives the simulated powder X-ray diffraction pattern in this record (Cu Kα (weighted mean of Kα1 and Kα2)).
Intensities are scaled so that the largest is 100.

Atomic structure:
```
LiHgBi2
1.0
7.6398 0.0000 0.0000
0.0000 7.6398 0.0000
0.0000 0.0000 7.6398
Li Hg Bi
4 4 8
Cartesian
0.0000 0.0000 0.0000 Li
0.0000 3.8199 3.8199 Li
3.8199 0.0000 3.8199 Li
3.8199 3.8199 0.0000 Li
1.9100 1.9100 1.9100 Hg
1.9100 5.7299 5.7299 Hg
5.7299 1.9100 5.7299 Hg
5.7299 5.7299 1.9100 Hg
0.0000 0.0000 3.8199 Bi
0.0000 3.8199 0.0000 Bi
1.9100 1.9100 5.7299 Bi
1.9100 5.7299 1.9100 Bi
3.8199 0.0000 0.0000 Bi
3.8199 3.8199 3.8199 Bi
5.7299 1.9100 1.9100 Bi
5.7299 5.7299 5.7299 Bi
```

Principal peaks in the range 2θ = 5–70°, in order of falling intensity:
2θ (°)  d (Å)  I (rel.)
33.17  2.701  100
59.25  1.559  39
20.13  4.411  24
47.61  1.910  19
39.11  2.303  14
69.62  1.351  12
23.29  3.820  12
52.19  1.753  6
53.65  1.708  5
63.25  1.470  5